Starting from the GGA-PBE geometry in the Materials Project, the powder X-ray diffraction pattern of Ti2Ga was simulated for CuKα.

Main lines, low angle first (15° ≤ 2θ ≤ 90°):
2θ = 24.75°, I = 27.4
2θ = 28.65°, I = 25.7
2θ = 40.97°, I = 100.0
2θ = 48.45°, I = 12.5
2θ = 50.76°, I = 6.8
2θ = 59.33°, I = 15.5
2θ = 65.27°, I = 4.9
2θ = 67.19°, I = 8.5
2θ = 74.62°, I = 30.0
2θ = 88.84°, I = 9.5

```
data_Ti2Ga
_cell_length_a 6.2310
_cell_length_b 6.2310
_cell_length_c 6.2310
_cell_angle_alpha 90.00
_cell_angle_beta 90.00
_cell_angle_gamma 90.00
_space_group_name_H-M_alt 'F -4 3 m'
_space_group_IT_number 216
_space_group_name_Hall 'F -4 2 3'
loop_
_atom_site_label
_atom_site_fract_x
_atom_site_fract_y
_atom_site_fract_z
Ti1 0.0000 0.0000 0.0000
Ti2 0.2500 0.2500 0.2500
Ga1 0.0000 0.0000 0.5000
```